Computed XRD peak list
Compound: SrZn3Bi
Radiation: λ = 1.5418 Å (Cu Kα)
Structure: DFT lattice parameters and positions (GGA-PBE)

Atomic structure:
```
SrZn3Bi
1.0
5.478 0.000 0.000
0.000 5.478 0.000
0.000 0.000 5.478
Sr Zn Bi
1 3 1
Cartesian
0.000 0.000 0.000 Sr
0.000 2.739 2.739 Zn
2.739 0.000 2.739 Zn
2.739 2.739 0.000 Zn
2.739 2.739 2.739 Bi
```

Largest 10 diffraction maxima, sorted by position, 2θ = 10–90°:
- 16.2°, I 72.9, (1 0 0)
- 23.0°, I 91.5, (1 1 0)
- 32.7°, I 100.0, (2 0 0)
- 36.7°, I 40.9, (2 1 0)
- 40.3°, I 43.7, (2 1 1)
- 46.9°, I 72.8, (2 2 0)
- 58.3°, I 25.0, (2 2 2)
- 63.5°, I 24.0, (3 2 1)
- 78.0°, I 32.0, (4 2 0)
- 87.2°, I 24.7, (4 2 2)